Entry 1:
For GaCuNi, a DFT-relaxed cell (GGA-PBE, Alexandria) gives the computed XRD peak list in this record (Cu Kα).
Peak positions follow from Bragg's law for the DFT cell and can differ from measured ones.

Structural model:
Cell: 4.0414 4.0414 2.6437 Å, 90.00 90.00 120.00°
Space group P3m1 (No. 156)
Asymmetric unit:
Ga 0.0000 0.0000 0.0000
Cu 0.6667 0.3333 0.2713
Ni 0.3333 0.6667 0.6903

Main lines, by angle (2θ = 10–80°):
2.644 Å, I = 3, hkl 0 0 1; 2.110 Å, I = 100, hkl 1 0 1; 2.021 Å, I = 91, hkl 1 1 0; 1.605 Å, I = 3, hkl 1 1 1; 1.459 Å, I = 28, hkl 0 2 1; 1.237 Å, I = 16, hkl 0 1 2


Entry 2:
For Dy6MgNi, a DFT-relaxed cell (GGA-PBE, Alexandria) gives the computed XRD peak list in this record (Cu Kα).
Peak positions follow from Bragg's law for the DFT cell and can differ from measured ones.

Structural model:
Cell: 6.9365 6.9431 7.1491 Å, 90.09 118.93 119.94°
Space group P-1 (No. 2)
Asymmetric unit:
Dy 0.0533 0.0775 0.2586
Dy 0.2827 0.7051 0.2584
Dy 0.3180 0.5237 0.7416
Mg 0.5000 0.0000 0.0000
Ni 0.5000 0.5000 0.5000

Main lines, by angle (2θ = 10–80°):
5.695 Å, I = 11, hkl 0 1 0; 3.471 Å, I = 16, hkl 1 1 -1; 2.995 Å, I = 100, hkl -2 1 2; 2.964 Å, I = 30, hkl 0 0 2; 2.254 Å, I = 30, hkl 1 1 1; 2.004 Å, I = 17, hkl -3 3 1; 1.717 Å, I = 20, hkl 2 -1 2; 1.661 Å, I = 9, hkl 1 -4 1; 1.659 Å, I = 10, hkl 3 1 -2; 1.561 Å, I = 9, hkl 1 3 -3


Entry 3:
For Os3Ru4W2, a DFT-relaxed cell (GGA-PBE, Alexandria) gives the computed XRD peak list in this record (Cu Kα).
Peak positions follow from Bragg's law for the DFT cell and can differ from measured ones.

Structural model:
Cell: 11.3982 10.0561 4.8099 Å, 90.00 102.51 90.00°
Space group C2/c (No. 15)
Asymmetric unit:
Os 0.0000 0.0436 0.2500
Os 0.0738 0.2840 0.0241
Ru 0.1018 0.4496 0.4785
Ru 0.2140 0.0791 0.1179
W 0.1624 0.1821 0.6101

Main lines, by angle (2θ = 10–80°):
2.558 Å, I = 37, hkl 3 1 1; 2.487 Å, I = 51, hkl 3 3 0; 2.351 Å, I = 46, hkl 2 0 -2; 2.343 Å, I = 41, hkl 3 3 -1; 2.216 Å, I = 36, hkl 0 4 1; 2.173 Å, I = 49, hkl 5 1 0; 2.152 Å, I = 91, hkl 1 1 2; 2.134 Å, I = 100, hkl 2 4 -1; 2.077 Å, I = 36, hkl 3 3 1; 1.990 Å, I = 42, hkl 2 4 1


Entry 4:
For Na2GeIr2, a DFT-relaxed cell (GGA-PBE, Alexandria) gives the computed XRD peak list in this record (Cu Kα).
Peak positions follow from Bragg's law for the DFT cell and can differ from measured ones.

Structural model:
Cell: 6.2481 6.2481 4.9799 Å, 90.00 90.00 90.00°
Space group P4/mbm (No. 127)
Asymmetric unit:
Na 0.1682 0.3318 0.0000
Ge 0.0000 0.0000 0.5000
Ir 0.1407 0.6407 0.5000

Main lines, by angle (2θ = 10–80°):
4.980 Å, I = 100, hkl 0 0 1; 2.794 Å, I = 37, hkl 2 1 0; 2.490 Å, I = 27, hkl 0 0 2; 2.437 Å, I = 85, hkl 2 1 1; 1.976 Å, I = 21, hkl 3 1 0; 1.859 Å, I = 23, hkl 2 1 2; 1.837 Å, I = 24, hkl 3 1 1; 1.548 Å, I = 19, hkl 3 1 2; 1.427 Å, I = 16, hkl 2 1 3; 1.271 Å, I = 7, hkl 3 1 3


Entry 5:
For Cd7GaHg6, a DFT-relaxed cell (GGA-PBE, Alexandria) gives the computed XRD peak list in this record (Cu Kα).
Peak positions follow from Bragg's law for the DFT cell and can differ from measured ones.

Structural model:
Cell: 6.1651 20.0462 11.3339 Å, 90.00 90.00 90.00°
Space group Ibam (No. 72)
Asymmetric unit:
Cd 0.0000 0.0000 0.2500
Cd 0.1132 0.2642 0.1300
Cd 0.2394 0.4900 0.5000
Ga 0.0000 0.5000 0.2500
Hg 0.1321 0.1299 0.5000
Hg 0.2330 0.3760 0.3202

Main lines, by angle (2θ = 10–80°):
3.083 Å, I = 16, hkl 2 0 0; 3.067 Å, I = 100, hkl 1 2 3; 2.727 Å, I = 26, hkl 0 2 4; 2.717 Å, I = 28, hkl 2 3 1; 2.626 Å, I = 24, hkl 2 4 0; 2.506 Å, I = 55, hkl 0 8 0; 2.389 Å, I = 21, hkl 2 5 1; 2.382 Å, I = 39, hkl 2 4 2; 2.319 Å, I = 76, hkl 1 6 3; 1.308 Å, I = 29, hkl 1 14 3


Entry 6:
For K2TlSnSb2, a DFT-relaxed cell (GGA-PBE, Alexandria) gives the computed XRD peak list in this record (Cu Kα).
Peak positions follow from Bragg's law for the DFT cell and can differ from measured ones.

Structural model:
Cell: 7.8805 15.3434 7.6974 Å, 90.00 90.00 90.00°
Space group Ibam (No. 72)
Asymmetric unit:
K 0.2463 0.1663 0.0000
Tl 0.0000 0.0000 0.2500
Sn 0.0000 0.5000 0.2500
Sb 0.2240 0.4010 0.0000

Main lines, by angle (2θ = 10–80°):
7.672 Å, I = 100, hkl 0 2 0; 4.473 Å, I = 23, hkl 1 2 1; 3.505 Å, I = 22, hkl 2 2 0; 3.440 Å, I = 20, hkl 0 2 2; 3.147 Å, I = 19, hkl 1 4 1; 2.751 Å, I = 98, hkl 2 0 2; 2.717 Å, I = 42, hkl 0 4 2; 2.591 Å, I = 33, hkl 2 2 2; 1.595 Å, I = 15, hkl 4 4 2; 1.576 Å, I = 16, hkl 2 4 4


Entry 7:
For Cs3Li2YI9, a DFT-relaxed cell (GGA-PBE, Alexandria) gives the computed XRD peak list in this record (Cu Kα).
Peak positions follow from Bragg's law for the DFT cell and can differ from measured ones.

Structural model:
Cell: 8.4585 8.4585 10.5210 Å, 90.00 90.00 120.00°
Space group P-3m1 (No. 164)
Asymmetric unit:
Cs 0.0000 0.0000 0.0000
Cs 0.3333 0.6667 0.6746
Li 0.3333 0.6667 0.1406
Y 0.0000 0.0000 0.5000
I 0.0000 0.5000 0.0000
I 0.1682 0.3363 0.3335

Main lines, by angle (2θ = 10–80°):
3.507 Å, I = 34, hkl 0 0 3; 3.459 Å, I = 100, hkl 0 2 1; 3.006 Å, I = 90, hkl 2 0 2; 2.136 Å, I = 34, hkl 0 2 4; 2.115 Å, I = 33, hkl 2 2 0; 1.825 Å, I = 16, hkl 2 0 5; 1.811 Å, I = 31, hkl 2 2 3; 1.804 Å, I = 15, hkl 4 0 1; 1.730 Å, I = 17, hkl 0 4 2; 1.350 Å, I = 15, hkl 2 2 6


Entry 8:
For Tb3RuBr3, a DFT-relaxed cell (GGA-PBE, Alexandria) gives the computed XRD peak list in this record (Cu Kα).
Peak positions follow from Bragg's law for the DFT cell and can differ from measured ones.

Structural model:
Cell: 8.5675 4.1187 11.9503 Å, 90.00 91.48 90.00°
Space group P2_1/m (No. 11)
Asymmetric unit:
Tb 0.1001 0.2500 0.3256
Tb 0.1420 0.2500 0.8654
Tb 0.2715 0.7500 0.1026
Ru 0.0550 0.2500 0.0960
Br 0.1313 0.2500 0.6009
Br 0.3380 0.7500 0.3557
Br 0.4333 0.7500 0.8704

Main lines, by angle (2θ = 10–80°):
8.565 Å, I = 86, hkl 1 0 0; 2.987 Å, I = 52, hkl 0 0 4; 2.969 Å, I = 100, hkl 2 1 0; 2.867 Å, I = 36, hkl 2 1 1; 2.798 Å, I = 19, hkl 1 0 4; 2.677 Å, I = 17, hkl 2 1 -2; 2.346 Å, I = 24, hkl 3 1 0; 2.124 Å, I = 42, hkl 2 1 -4; 2.059 Å, I = 30, hkl 0 2 0; 1.695 Å, I = 19, hkl 0 2 4